The following is a computed powder X-ray diffraction pattern of SmP2Pd. It was derived from DFT lattice parameters and positions (PBE), using Cu Kα, 1.54184 Å.
Intensities are scaled so that the largest is 100.

Crystal structure
```
SmP2Pd
1.0
7.0263 0.0000 0.0000
0.0000 4.2813 0.0000
0.0000 0.0000 9.7303
Sm P Pd
4 8 4
direct
0.1453 0.2500 0.1315 Sm
0.3547 0.7500 0.6315 Sm
0.6453 0.2500 0.3685 Sm
0.8547 0.7500 0.8685 Sm
0.1503 0.2500 0.8274 P
0.2234 0.2500 0.4208 P
0.2766 0.7500 0.9208 P
0.3497 0.7500 0.3274 P
0.6503 0.2500 0.6726 P
0.7234 0.2500 0.0792 P
0.7766 0.7500 0.5792 P
0.8497 0.7500 0.1726 P
0.0081 0.7500 0.3896 Pd
0.4919 0.2500 0.8896 Pd
0.5081 0.7500 0.1104 Pd
0.9919 0.2500 0.6104 Pd
```

Principal peaks in the range 15 to 90 degrees two-theta, low angle first:
26.04 deg, I 22
26.98 deg, I 18
30.59 deg, I 100
32.98 deg, I 39
34.28 deg, I 24
37.00 deg, I 63
39.58 deg, I 24
42.22 deg, I 33
43.46 deg, I 26
57.33 deg, I 19

---

The following is a computed powder X-ray diffraction pattern of Na2In2GeSe6. It was derived from DFT lattice parameters and positions (PBE), using Cu Kα, 1.54184 Å.
Intensities are scaled so that the largest is 100.

Crystal structure
```
Na2In2GeSe6
1.0
6.4266 -4.1926 0.0000
6.4266 4.1926 0.0000
-4.2692 0.0000 12.3598
Na In Ge Se
4 4 2 12
direct
0.0748 0.9252 0.5000 Na
0.5165 0.9256 0.1765 Na
0.9252 0.0748 0.0000 Na
0.9256 0.5165 0.6765 Na
0.2991 0.4160 0.0114 In
0.4160 0.2991 0.5114 In
0.4573 0.6222 0.8159 In
0.6222 0.4573 0.3159 In
0.0733 0.5137 0.2562 Ge
0.5137 0.0733 0.7562 Ge
0.2122 0.2148 0.8159 Se
0.2148 0.2122 0.3159 Se
0.2178 0.6179 0.6294 Se
0.2636 0.7157 0.3054 Se
0.2975 0.7448 0.9869 Se
0.4645 0.9719 0.5652 Se
0.6179 0.2178 0.1294 Se
0.7080 0.7974 0.8413 Se
0.7157 0.2636 0.8054 Se
0.7448 0.2975 0.4869 Se
0.7974 0.7080 0.3413 Se
0.9719 0.4645 0.0652 Se
```

Principal peaks in the range 15 to 90 degrees two-theta, low angle first:
15.83 deg, I 28
22.39 deg, I 24
23.32 deg, I 25
24.42 deg, I 37
25.68 deg, I 26
27.17 deg, I 100
28.18 deg, I 35
28.89 deg, I 34
29.40 deg, I 39
41.24 deg, I 31

---

The following is a computed powder X-ray diffraction pattern of Ca5Mg3. It was derived from DFT lattice parameters and positions (PBE), using Cu Kα, 1.54184 Å.
Intensities are scaled so that the largest is 100.

Crystal structure
```
Ca5Mg3
1.0
3.9089 0.0000 0.0000
0.0000 3.9089 0.0000
0.0000 0.0000 17.7702
Ca Mg
5 3
direct
0.0000 0.0000 0.0000 Ca
0.0000 0.0000 0.2279 Ca
0.0000 0.0000 0.7721 Ca
0.5000 0.5000 0.3856 Ca
0.5000 0.5000 0.6144 Ca
0.0000 0.0000 0.5000 Mg
0.5000 0.5000 0.1151 Mg
0.5000 0.5000 0.8849 Mg
```

Principal peaks in the range 15 to 90 degrees two-theta, low angle first:
23.30 deg, I 8
25.06 deg, I 6
30.46 deg, I 100
32.39 deg, I 48
40.62 deg, I 7
46.46 deg, I 16
52.88 deg, I 13
56.58 deg, I 30
63.39 deg, I 7
77.17 deg, I 6

---

The following is a computed powder X-ray diffraction pattern of DyLu3. It was derived from DFT lattice parameters and positions (PBE), using Cu Kα, 1.54184 Å.
Intensities are scaled so that the largest is 100.

Crystal structure
```
DyLu3
1.0
7.0788 0.0000 0.0000
-3.5394 6.1304 0.0000
0.0000 0.0000 5.5078
Dy Lu
2 6
direct
0.3333 0.6667 0.2500 Dy
0.6667 0.3333 0.7500 Dy
0.1661 0.3322 0.7500 Lu
0.1661 0.8339 0.7500 Lu
0.3322 0.1661 0.2500 Lu
0.6678 0.8339 0.7500 Lu
0.8339 0.1661 0.2500 Lu
0.8339 0.6678 0.2500 Lu
```

Principal peaks in the range 15 to 90 degrees two-theta, low angle first:
29.13 deg, I 24
32.51 deg, I 24
33.46 deg, I 100
44.21 deg, I 16
51.65 deg, I 20
58.61 deg, I 20
62.37 deg, I 22
62.95 deg, I 16
81.88 deg, I 8
85.68 deg, I 14

---

The following is a computed powder X-ray diffraction pattern of Li5Ga3Sn3. It was derived from DFT lattice parameters and positions (PBE), using Cu Kα, 1.54184 Å.
Intensities are scaled so that the largest is 100.

Crystal structure
```
Li5Ga3Sn3
1.0
9.1257 0.0000 0.0000
-4.5629 7.9031 0.0000
0.0000 0.0000 3.3340
Li Ga Sn
5 3 3
direct
0.0000 0.3379 0.0000 Li
0.3333 0.6667 0.0000 Li
0.3379 0.0000 0.0000 Li
0.6621 0.6621 0.0000 Li
0.6667 0.3333 0.0000 Li
0.0000 0.8361 0.0000 Ga
0.1639 0.1639 0.0000 Ga
0.8361 0.0000 0.0000 Ga
0.0000 0.5923 0.5000 Sn
0.4077 0.4077 0.5000 Sn
0.5923 0.0000 0.5000 Sn
```

Principal peaks in the range 15 to 90 degrees two-theta, low angle first:
19.45 deg, I 100
22.50 deg, I 35
29.07 deg, I 40
33.28 deg, I 43
35.22 deg, I 23
40.55 deg, I 55
41.18 deg, I 69
48.34 deg, I 25
57.89 deg, I 22
71.04 deg, I 28

---

The following is a computed powder X-ray diffraction pattern of Sm6HoMg5. It was derived from DFT lattice parameters and positions (PBE), using Cu Kα, 1.54184 Å.
Intensities are scaled so that the largest is 100.

Crystal structure
```
Sm6HoMg5
1.0
5.4687 0.0000 0.0000
0.0000 7.7502 0.0000
-2.7320 0.0000 8.2701
Sm Ho Mg
6 1 5
direct
0.0000 0.2394 0.0000 Sm
0.0000 0.7606 0.0000 Sm
0.3317 0.2477 0.6600 Sm
0.3317 0.7523 0.6600 Sm
0.6683 0.2477 0.3400 Sm
0.6683 0.7523 0.3400 Sm
0.5000 0.5000 0.0000 Ho
0.1600 0.5000 0.3239 Mg
0.1644 0.0000 0.3339 Mg
0.5000 0.0000 0.0000 Mg
0.8356 0.0000 0.6661 Mg
0.8400 0.5000 0.6761 Mg
```

Principal peaks in the range 15 to 90 degrees two-theta, low angle first:
22.92 deg, I 47
32.48 deg, I 25
32.65 deg, I 100
32.75 deg, I 25
46.80 deg, I 18
52.77 deg, I 13
58.05 deg, I 19
58.39 deg, I 28
68.41 deg, I 11
77.97 deg, I 12

---

The following is a computed powder X-ray diffraction pattern of NpPa5C6. It was derived from DFT lattice parameters and positions (PBE), using Cu Kα, 1.54184 Å.
Intensities are scaled so that the largest is 100.

Crystal structure
```
NpPa5C6
1.0
3.0979 -5.3669 0.0000
3.0979 5.3669 0.0000
-2.0768 0.0000 5.8442
Np Pa C
1 5 6
direct
0.0000 0.0000 0.0000 Np
0.1667 0.8333 0.5000 Pa
0.3335 0.6665 0.0000 Pa
0.5000 0.5000 0.5000 Pa
0.6665 0.3335 0.0000 Pa
0.8333 0.1667 0.5000 Pa
0.0825 0.4136 0.2481 C
0.2484 0.2484 0.7496 C
0.4136 0.0825 0.2481 C
0.5864 0.9175 0.7519 C
0.7516 0.7516 0.2504 C
0.9175 0.5864 0.7519 C
```

Principal peaks in the range 15 to 90 degrees two-theta, low angle first:
30.60 deg, I 100
35.48 deg, I 62
51.05 deg, I 45
60.69 deg, I 39
60.76 deg, I 8
63.71 deg, I 15
83.20 deg, I 13
83.29 deg, I 7
85.85 deg, I 11
85.95 deg, I 11

---

The following is a computed powder X-ray diffraction pattern of Li6AcRh6. It was derived from DFT lattice parameters and positions (PBE), using Cu Kα, 1.54184 Å.
Intensities are scaled so that the largest is 100.

Crystal structure
```
Li6AcRh6
1.0
-2.5836 4.4365 4.5735
2.5836 -4.4365 4.5735
2.5836 4.4365 -4.5735
Li Ac Rh
6 1 6
direct
0.1400 0.1400 0.0000 Li
0.1548 0.5000 0.6548 Li
0.2861 0.7861 0.5000 Li
0.7139 0.2139 0.5000 Li
0.8452 0.5000 0.3452 Li
0.8600 0.8600 0.0000 Li
0.5000 0.5000 0.0000 Ac
0.0000 0.0000 0.5000 Rh
0.0000 0.5000 0.0000 Rh
0.2695 0.0000 0.2695 Rh
0.5000 0.0000 0.0000 Rh
0.5000 0.5000 0.5000 Rh
0.7305 0.0000 0.7305 Rh
```

Principal peaks in the range 15 to 90 degrees two-theta, low angle first:
20.01 deg, I 55
27.99 deg, I 76
28.25 deg, I 100
39.40 deg, I 45
39.89 deg, I 45
40.08 deg, I 84
40.67 deg, I 39
45.19 deg, I 28
57.92 deg, I 26
58.41 deg, I 63

---

The following is a computed powder X-ray diffraction pattern of Li3Ga2Cu3. It was derived from DFT lattice parameters and positions (PBE), using Cu Kα, 1.54184 Å.
Intensities are scaled so that the largest is 100.

Crystal structure
```
Li3Ga2Cu3
1.0
2.1059 1.2158 6.8661
-2.1059 1.2158 6.8661
0.0000 -2.4317 6.8661
Li Ga Cu
3 2 3
direct
0.0000 0.0000 0.0000 Li
0.1266 0.1266 0.1266 Li
0.5017 0.5017 0.5017 Li
0.2539 0.2539 0.2539 Ga
0.7488 0.7488 0.7488 Ga
0.3757 0.3757 0.3757 Cu
0.6265 0.6265 0.6265 Cu
0.8755 0.8755 0.8755 Cu
```

Principal peaks in the range 15 to 90 degrees two-theta, low angle first:
24.79 deg, I 7
25.92 deg, I 44
30.02 deg, I 3
42.97 deg, I 100
50.87 deg, I 20
62.40 deg, I 15
68.71 deg, I 6
78.72 deg, I 23
78.84 deg, I 7
84.57 deg, I 5

---

The following is a computed powder X-ray diffraction pattern of Cs3Zr2I9. It was derived from DFT lattice parameters and positions (PBE), using Cu Kα, 1.54184 Å.
Intensities are scaled so that the largest is 100.

Crystal structure
```
Cs3Zr2I9
1.0
8.5553 0.0000 0.0000
-4.2777 7.4091 0.0000
0.0000 0.0000 20.7241
Cs Zr I
6 4 18
direct
0.0000 0.0000 0.2500 Cs
0.0000 0.0000 0.7500 Cs
0.3333 0.6667 0.0618 Cs
0.3333 0.6667 0.4382 Cs
0.6667 0.3333 0.5618 Cs
0.6667 0.3333 0.9382 Cs
0.3333 0.6667 0.6729 Zr
0.3333 0.6667 0.8271 Zr
0.6667 0.3333 0.1729 Zr
0.6667 0.3333 0.3271 Zr
0.0022 0.5011 0.2500 I
0.1716 0.3432 0.5928 I
0.1716 0.3432 0.9072 I
0.1716 0.8284 0.5928 I
0.1716 0.8284 0.9072 I
0.3432 0.1716 0.0928 I
0.3432 0.1716 0.4072 I
0.4989 0.5011 0.2500 I
0.4989 0.9978 0.2500 I
0.5011 0.0022 0.7500 I
0.5011 0.4989 0.7500 I
0.6568 0.8284 0.5928 I
0.6568 0.8284 0.9072 I
0.8284 0.1716 0.0928 I
0.8284 0.1716 0.4072 I
0.8284 0.6568 0.0928 I
0.8284 0.6568 0.4072 I
0.9978 0.4989 0.7500 I
```

Principal peaks in the range 15 to 90 degrees two-theta, low angle first:
25.54 deg, I 76
25.79 deg, I 38
27.32 deg, I 100
29.64 deg, I 69
32.41 deg, I 19
38.94 deg, I 18
42.25 deg, I 58
42.59 deg, I 21
50.17 deg, I 35
51.06 deg, I 20

---

The following is a computed powder X-ray diffraction pattern of Na5B7C3. It was derived from DFT lattice parameters and positions (PBE), using Cu Kα, 1.54184 Å.
Intensities are scaled so that the largest is 100.

Crystal structure
```
Na5B7C3
1.0
8.5720 0.0000 0.0000
0.0000 7.1453 2.5491
0.0000 -7.1453 2.5491
Na B C
10 14 6
direct
0.2420 0.0000 0.0000 Na
0.2457 0.3977 0.5986 Na
0.2457 0.5986 0.3977 Na
0.2497 0.1994 0.8004 Na
0.2497 0.8004 0.1994 Na
0.7503 0.1994 0.8004 Na
0.7503 0.8004 0.1994 Na
0.7543 0.3977 0.5986 Na
0.7543 0.5986 0.3977 Na
0.7580 0.0000 0.0000 Na
0.0000 0.0589 0.2706 B
0.0000 0.2706 0.0589 B
0.0000 0.3322 0.3322 B
0.0000 0.4682 0.8678 B
0.0000 0.6851 0.6851 B
0.0000 0.8678 0.4682 B
0.5000 0.1318 0.5228 B
0.5000 0.3217 0.3217 B
0.5000 0.4614 0.8541 B
0.5000 0.5228 0.1318 B
0.5000 0.6508 0.6508 B
0.5000 0.7702 0.9606 B
0.5000 0.8541 0.4614 B
0.5000 0.9606 0.7702 B
0.0000 0.1257 0.5315 C
0.0000 0.5315 0.1257 C
0.0000 0.7318 0.9345 C
0.0000 0.9345 0.7318 C
0.5000 0.0687 0.2642 C
0.5000 0.2642 0.0687 C
```

Principal peaks in the range 15 to 90 degrees two-theta, low angle first:
35.21 deg, I 10
36.02 deg, I 18
41.20 deg, I 51
41.92 deg, I 100
42.17 deg, I 38
56.64 deg, I 10
63.71 deg, I 18
76.91 deg, I 12
79.39 deg, I 17
80.19 deg, I 11